Record 1
The following is a simulated X-ray diffraction stick pattern of BiC8N4Cl7. It was derived from a structure optimized by DFT (GGA-PBE), using Cu Kα X-rays.
Intensities are scaled so that the largest is 100.

Structure:
Cell: 9.8477 16.1456 8.5749 Å, 90.00 90.00 90.00°
Atoms (fractional coordinates):
1 Bi 0.0000 0.0000 0.1501
2 Bi 0.5000 0.5000 0.8499
3 C 0.0881 0.3037 0.8698
4 C 0.1864 0.3651 0.1153
5 C 0.1868 0.5425 0.4335
6 C 0.2254 0.6495 0.6384
7 C 0.2746 0.1495 0.3616
8 C 0.3132 0.0425 0.5665
9 C 0.3136 0.8651 0.8847
10 C 0.4119 0.8037 0.1302
11 C 0.5881 0.1963 0.1302
12 C 0.6864 0.1349 0.8847
13 C 0.6868 0.9575 0.5665
14 C 0.7254 0.8505 0.3616
15 C 0.7746 0.3505 0.6384
16 C 0.8132 0.4575 0.4335
17 C 0.8136 0.6349 0.1153
18 C 0.9119 0.6963 0.8698
19 N 0.1493 0.3288 0.9822
20 N 0.2015 0.5883 0.5489
21 N 0.2985 0.0883 0.4511
22 N 0.3507 0.8288 0.0178
23 N 0.6493 0.1712 0.0178
24 N 0.7015 0.9117 0.4511
25 N 0.7985 0.4117 0.5489
26 N 0.8507 0.6712 0.9822
27 Cl 0.0000 0.5000 0.3959
28 Cl 0.1069 0.9030 0.3324
29 Cl 0.1439 0.8487 0.8461
30 Cl 0.2236 0.1058 0.1580
31 Cl 0.2764 0.6058 0.8420
32 Cl 0.3561 0.3487 0.1539
33 Cl 0.3931 0.4030 0.6676
34 Cl 0.5000 0.0000 0.6041
35 Cl 0.6069 0.5970 0.6676
36 Cl 0.6439 0.6513 0.1539
37 Cl 0.7236 0.3942 0.8420
38 Cl 0.7764 0.8942 0.1580
39 Cl 0.8561 0.1513 0.8461
40 Cl 0.8931 0.0970 0.3324

Principal peaks in the range 10° ≤ 2θ ≤ 90°, low angle first:
two_theta  I (rel.)
10.52  100
10.96  67
11.69  88
13.69  52
14.76  61
17.57  94
21.48  60
26.61  44

Record 2
The following is a simulated X-ray diffraction stick pattern of Li3Cu3P2O8. It was derived from a structure optimized by DFT (GGA-PBE), using Cu Kα X-rays.
Intensities are scaled so that the largest is 100.

Structure:
Cell: 5.1209 5.4582 6.2348 Å, 88.15 89.26 89.36°
Atoms (fractional coordinates):
1 Li 0.0000 0.0000 0.0000
2 Li 0.0007 0.4814 0.7489
3 Li 0.4962 0.6569 0.9962
4 Cu 0.0453 0.9774 0.4691
5 Cu 0.4870 0.6747 0.4764
6 Cu 0.5114 0.0891 0.2619
7 P 0.5032 0.1663 0.7597
8 P 0.9964 0.5043 0.2372
9 O 0.0900 0.6143 0.4550
10 O 0.0960 0.2340 0.2300
11 O 0.1071 0.6479 0.0364
12 O 0.1999 0.1607 0.7547
13 O 0.6058 0.0143 0.9606
14 O 0.6066 0.4331 0.7607
15 O 0.6238 0.0318 0.5620
16 O 0.6939 0.5118 0.2363

Principal peaks in the range 10° ≤ 2θ ≤ 90°, low angle first:
two_theta  I (rel.)
14.21  100
27.35  23
32.64  30
32.84  29
35.05  51
36.91  18
37.48  18
38.13  25